Simulated PXRD pattern
Compound: TbSm2Al7Cu2
Radiation: Cu Kα, 1.54184 Å
Structure: a structure optimized by DFT (GGA-PBE)

Cell and atoms:
```
TbSm2Al7Cu2
1.0
2.7650 1.5963 8.5521
-2.7650 1.5963 8.5521
0.0000 -3.1927 8.5521
Tb Sm Al Cu
1 2 7 2
direct
0.0000 0.0000 0.0000
0.1416 0.1416 0.1416
0.8584 0.8584 0.8584
0.0720 0.5806 0.5806
0.4194 0.4194 0.9280
0.4194 0.9280 0.4194
0.5000 0.5000 0.5000
0.5806 0.0720 0.5806
0.5806 0.5806 0.0720
0.9280 0.4194 0.4194
0.3353 0.3353 0.3353
0.6647 0.6647 0.6647
```

Most intense lines, 2θ = 15–90°, most intense first:
2θ (°)  I_rel
38.8  1000
32.4  871
30.7  495
18.9  396
33.6  333
20.8  303
64.0  275
37.7  272
62.1  245
67.8  190